[1]
This entry pairs a crystal structure of Sn4SF6 with its calculated powder diffraction line list. Radiation: Cu Kα X-rays. Structure: a DFT-relaxed cell (PBE, the Materials Project).
No peak broadening, texture or thermal motion is included.

Principal peaks in the range 10 to 80 degrees two-theta, in order of rising 2θ:
Position (°2θ)	I/Imax
19.96	65
24.93	23
26.90	100
30.16	44
39.50	27
48.23	28

Structure:
```
22
Lattice="4.3409 -6.2847 0.0000 4.3409 6.2847 0.0000 0.0000 0.0000 8.8955" Properties=species:S:1:pos:R:3 pbc="T T T"
Sn 4.3409 4.3929 4.4477
Sn 2.3661 1.0703 5.4165
Sn 4.3409 2.2624 0.7832
Sn 2.3661 -1.0703 0.9688
Sn 6.3157 1.0703 5.4165
Sn 4.3409 -2.2624 5.2309
Sn 6.3157 -1.0703 0.9688
Sn 4.3409 -4.3929 0.0000
S 4.3409 2.0539 3.3713
S 4.3409 -2.0539 7.8191
F 2.1604 3.0522 1.0292
F 1.5153 1.1672 7.4526
F 4.3409 4.4123 0.4765
F 1.5153 -1.1672 3.0048
F 4.3409 1.4607 6.4481
F 2.1604 -3.0522 5.4769
F 6.5213 3.0522 1.0292
F 4.3409 -1.4607 2.0003
F 7.1665 1.1672 7.4526
F 4.3409 -4.4123 4.9242
F 7.1665 -1.1672 3.0048
F 6.5213 -3.0522 5.4769
```


[2]
This entry pairs a crystal structure of Ag5PS4Cl2 with its calculated powder diffraction line list. Radiation: Cu Kα X-rays. Structure: a DFT-relaxed cell (PBE, the Materials Project).
No peak broadening, texture or thermal motion is included.

Principal peaks in the range 10 to 80 degrees two-theta, in order of rising 2θ:
Position (°2θ)	I/Imax
27.66	100
28.18	33
28.65	34
28.82	74
40.62	69
49.42	41

Structure:
```
12
Lattice="7.4875 0.0000 0.0000 0.0000 5.6220 3.1668 0.0000 -5.6220 3.1668" Properties=species:S:1:pos:R:3 pbc="T T T"
Ag 0.0000 0.0000 0.0000
Ag 2.1061 -2.1473 3.3809
Ag 2.1061 2.1473 3.3809
Ag 5.3815 -2.1473 3.3809
Ag 5.3815 2.1473 3.3809
P 3.7438 0.0000 5.9761
S 2.0380 0.0000 4.7796
S 3.7438 -3.9581 4.0659
S 3.7438 3.9581 4.0659
S 5.4495 0.0000 4.7796
Cl 0.0000 -1.9369 1.8300
Cl 0.0000 1.9368 1.8300
```


[3]
This entry pairs a crystal structure of NaH with its calculated powder diffraction line list. Radiation: Cu Kα X-rays. Structure: a DFT-relaxed cell (PBE, the Materials Project).
No peak broadening, texture or thermal motion is included.

Principal peaks in the range 10 to 80 degrees two-theta, in order of rising 2θ:
Position (°2θ)	I/Imax
32.12	100
37.26	63
53.71	39
63.97	37
67.18	12
79.41	5

Structure:
```
2
Lattice="0.0000 2.4135 2.4135 2.4135 0.0000 2.4135 2.4135 2.4135 0.0000" Properties=species:S:1:pos:R:3 pbc="T T T"
Na 0.0000 0.0000 0.0000
H 2.4135 2.4135 2.4135
```


[4]
This entry pairs a crystal structure of ScCu3 with its calculated powder diffraction line list. Radiation: Cu Kα X-rays. Structure: a DFT-relaxed cell (PBE, the Materials Project).
No peak broadening, texture or thermal motion is included.

Principal peaks in the range 10 to 80 degrees two-theta, in order of rising 2θ:
Position (°2θ)	I/Imax
25.72	3
40.86	100
46.02	35
50.47	13
67.11	10
70.67	17

Structure:
```
4
Lattice="-1.9723 1.9723 3.6167 1.9723 -1.9723 3.6167 1.9723 1.9723 -3.6167" Properties=species:S:1:pos:R:3 pbc="T T T"
Sc 0.0000 0.0000 0.0000
Cu 1.9723 0.0000 1.8083
Cu 0.0000 0.0000 3.6167
Cu 0.0000 1.9723 1.8083
```


[5]
This entry pairs a crystal structure of AsPPt with its calculated powder diffraction line list. Radiation: Cu Kα X-rays. Structure: a DFT-relaxed cell (PBE, the Materials Project).
No peak broadening, texture or thermal motion is included.

Principal peaks in the range 10 to 80 degrees two-theta, in order of rising 2θ:
Position (°2θ)	I/Imax
26.11	86
30.24	93
33.91	26
43.30	61
51.26	100
69.30	23

Structure:
```
12
Lattice="5.9106 0.0000 0.0000 0.0000 5.9106 0.0000 0.0000 0.0000 5.9106" Properties=species:S:1:pos:R:3 pbc="T T T"
As 0.6671 0.6671 0.6671
As 2.2882 5.2435 3.6223
As 3.6223 2.2882 5.2435
As 5.2435 3.6223 2.2882
P 0.6774 2.2779 3.6327
P 2.2779 3.6327 0.6774
P 3.6327 0.6774 2.2779
P 5.2332 5.2332 5.2332
Pt 0.0540 3.0093 5.8566
Pt 2.9013 2.9013 2.9013
Pt 3.0093 5.8566 0.0540
Pt 5.8566 0.0540 3.0093
```


[6]
This entry pairs a crystal structure of BaCu2S2 with its calculated powder diffraction line list. Radiation: Cu Kα X-rays. Structure: a DFT-relaxed cell (PBE, the Materials Project).
No peak broadening, texture or thermal motion is included.

Principal peaks in the range 10 to 80 degrees two-theta, in order of rising 2θ:
Position (°2θ)	I/Imax
30.52	100
33.69	58
35.39	80
35.81	36
44.74	32
57.15	24

Structure:
```
20
Lattice="9.2843 0.0000 0.0000 0.0000 4.0512 0.0000 0.0000 0.0000 10.4164" Properties=species:S:1:pos:R:3 pbc="T T T"
Ba 2.2324 1.0128 1.8310
Ba 2.4097 3.0384 7.0392
Ba 6.8745 1.0128 3.3772
Ba 7.0519 3.0384 8.5854
Cu 0.5251 1.0128 9.2249
Cu 0.7735 1.0128 4.7524
Cu 3.8686 3.0384 9.9606
Cu 4.1170 3.0384 4.0167
Cu 5.1672 1.0128 6.3997
Cu 5.4156 1.0128 0.4558
Cu 8.5108 3.0384 5.6640
Cu 8.7592 3.0384 1.1915
S 0.1818 3.0384 3.4698
S 1.4520 3.0384 9.9871
S 3.1901 1.0128 4.7789
S 4.4603 1.0128 8.6780
S 4.8240 3.0384 1.7384
S 6.0941 3.0384 5.6375
S 7.8323 1.0128 0.4293
S 9.1024 1.0128 6.9466
```


[7]
This entry pairs a crystal structure of Ba4Ca4Tl3Cu6O19 with its calculated powder diffraction line list. Radiation: Cu Kα X-rays. Structure: a DFT-relaxed cell (PBE, the Materials Project).
No peak broadening, texture or thermal motion is included.

Principal peaks in the range 10 to 80 degrees two-theta, in order of rising 2θ:
Position (°2θ)	I/Imax
25.79	36
28.54	100
31.94	65
32.74	86
46.99	47
55.90	37

Structure:
```
36
Lattice="-1.9339 1.9339 34.5444 1.9339 -1.9339 34.5444 1.9339 1.9339 -34.5444" Properties=species:S:1:pos:R:3 pbc="T T T"
Ba 0.0000 0.0000 2.7089
Ba 0.0000 0.0000 13.2586
Ba 0.0000 0.0000 55.8301
Ba 0.0000 0.0000 66.3798
Ca 0.0000 0.0000 6.3964
Ca 0.0000 0.0000 9.6969
Ca 0.0000 0.0000 59.3918
Ca 0.0000 0.0000 62.6923
Tl 0.0000 0.0000 18.4171
Tl 0.0000 0.0000 34.5444
Tl 0.0000 0.0000 50.6717
Cu 0.0000 0.0000 23.3001
Cu 0.0000 0.0000 26.4414
Cu 0.0000 0.0000 29.7166
Cu 0.0000 0.0000 39.3722
Cu 0.0000 0.0000 42.6473
Cu 0.0000 0.0000 45.7886
O 0.0000 0.0000 0.0000
O 1.9339 0.0000 4.9468
O 1.9339 0.0000 8.1192
O 1.9339 0.0000 11.2862
O 0.0000 0.0000 16.3359
O 0.0000 0.0000 20.4446
O 1.9339 0.0000 23.2582
O 1.9339 0.0000 26.4252
O 1.9339 0.0000 29.5975
O 0.0000 0.0000 32.4456
O 0.0000 0.0000 36.6431
O 0.0000 1.9339 4.9468
O 0.0000 1.9339 8.1192
O 0.0000 1.9339 11.2862
O 0.0000 0.0000 48.6441
O 0.0000 0.0000 52.7528
O 0.0000 1.9339 23.2582
O 0.0000 1.9339 26.4252
O 0.0000 1.9339 29.5975
```


[8]
This entry pairs a crystal structure of SiGeN2 with its calculated powder diffraction line list. Radiation: Cu Kα X-rays. Structure: a DFT-relaxed cell (PBE, the Materials Project).
No peak broadening, texture or thermal motion is included.

Principal peaks in the range 10 to 80 degrees two-theta, in order of rising 2θ:
Position (°2θ)	I/Imax
19.19	42
24.19	63
28.58	100
29.99	57
35.22	94
62.52	33

Structure:
```
16
Lattice="7.6567 0.0000 0.0000 0.0000 5.9454 0.0000 -1.4219 0.0000 4.9500" Properties=species:S:1:pos:R:3 pbc="T T T"
Si 0.6516 0.8239 0.6974
Si -0.0594 2.1488 3.1724
Si 6.2942 3.7966 1.7775
Si 5.5833 5.1215 4.2525
Ge 1.9752 3.6743 1.0687
Ge 1.2643 5.2438 3.5437
Ge 4.9706 0.7016 1.4063
Ge 4.2597 2.2711 3.8812
N 0.3481 3.6886 2.3798
N -0.3629 5.2295 4.8548
N 0.7374 0.8338 2.4081
N 0.0264 2.1389 4.8830
N 6.2085 3.8065 0.0669
N 5.4975 5.1116 2.5419
N 6.5977 0.7159 0.0952
N 5.8868 2.2568 2.5702
```


[9]
This entry pairs a crystal structure of Te6Mo3WSe2 with its calculated powder diffraction line list. Radiation: Cu Kα X-rays. Structure: a DFT-relaxed cell (PBE, the Materials Project).
No peak broadening, texture or thermal motion is included.

Principal peaks in the range 10 to 80 degrees two-theta, in order of rising 2θ:
Position (°2θ)	I/Imax
11.18	88
29.51	53
34.73	100
42.09	66
52.33	42
73.96	20

Structure:
```
12
Lattice="3.4970 0.0000 0.0000 -1.7485 3.0285 0.0000 0.0000 0.0000 39.5688" Properties=species:S:1:pos:R:3 pbc="T T T"
Te 0.0000 0.0000 0.0000
Te 0.0000 0.0000 3.6634
Te 0.0000 0.0000 14.8599
Te 0.0000 0.0000 18.5415
Te 0.0000 2.0190 7.4347
Te 0.0000 2.0190 11.0972
Mo 0.0000 0.0000 9.2676
Mo 0.0000 0.0000 33.9681
Mo 0.0000 2.0190 1.8325
W 0.0000 2.0190 16.7018
Se 0.0000 2.0190 32.3506
Se 0.0000 2.0190 35.5852
```